No. 1
Diffraction record for Ac2InAu10. The X-ray powder pattern is computed, not measured: it uses a cell relaxed with GGA-PBE and Cu Kα.
No peak broadening, texture or thermal motion is included.

The 10 most intense peaks (10° ≤ 2θ ≤ 80°), in order of rising 2θ:
| two_theta | Rel. int. |
| --- | --- |
| 29.76 | 44 |
| 32.94 | 42 |
| 33.35 | 40 |
| 34.32 | 100 |
| 36.54 | 32 |
| 37.01 | 29 |
| 38.13 | 29 |
| 39.82 | 48 |
| 40.74 | 36 |
| 42.06 | 24 |

Cell and atoms:
Cell lengths 6.366, 7.077, 13.662 Å; angles 84.51, 86.88, 82.21 degrees
Fractional positions:
Ac  0.224  0.498  0.119
Ac  0.264  0.941  0.618
Ac  0.736  0.059  0.382
Ac  0.776  0.502  0.881
In  0.000  0.500  0.500
In  0.500  0.000  0.000
Au  0.007  0.080  0.815
Au  0.055  0.179  0.020
Au  0.089  0.405  0.693
Au  0.193  0.232  0.360
Au  0.221  0.826  0.373
Au  0.281  0.712  0.851
Au  0.338  0.309  0.870
Au  0.399  0.040  0.200
Au  0.423  0.321  0.521
Au  0.497  0.511  0.691
Au  0.503  0.489  0.309
Au  0.577  0.679  0.479
Au  0.601  0.960  0.800
Au  0.662  0.691  0.130
Au  0.719  0.288  0.149
Au  0.779  0.174  0.627
Au  0.807  0.768  0.640
Au  0.911  0.595  0.307
Au  0.945  0.821  0.980
Au  0.993  0.920  0.185

***

No. 2
Diffraction record for Ac3In7Au2. The X-ray powder pattern is computed, not measured: it uses a cell relaxed with GGA-PBE and Cu Kα.
No peak broadening, texture or thermal motion is included.

The 10 most intense peaks (10° ≤ 2θ ≤ 80°), in order of rising 2θ:
| two_theta | Rel. int. |
| --- | --- |
| 27.11 | 16 |
| 28.53 | 48 |
| 29.67 | 22 |
| 33.20 | 23 |
| 34.15 | 100 |
| 36.61 | 15 |
| 37.25 | 14 |
| 54.21 | 27 |
| 55.92 | 21 |
| 59.04 | 25 |

Cell and atoms:
Cell lengths 10.310, 10.310, 10.310 Å; angles 35.33, 35.33, 35.33 degrees
Fractional positions:
Ac  0.000  0.000  0.000
Ac  0.141  0.141  0.141
Ac  0.859  0.859  0.859
In  0.070  0.584  0.584
In  0.416  0.416  0.930
In  0.416  0.930  0.416
In  0.500  0.500  0.500
In  0.584  0.070  0.584
In  0.584  0.584  0.070
In  0.930  0.416  0.416
Au  0.336  0.336  0.336
Au  0.664  0.664  0.664

***

No. 3
Diffraction record for Ac2In8Au. The X-ray powder pattern is computed, not measured: it uses a cell relaxed with GGA-PBE and Cu Kα.
No peak broadening, texture or thermal motion is included.

The 10 most intense peaks (10° ≤ 2θ ≤ 80°), in order of rising 2θ:
| two_theta | Rel. int. |
| --- | --- |
| 18.00 | 19 |
| 27.64 | 12 |
| 29.18 | 24 |
| 33.18 | 100 |
| 35.03 | 13 |
| 36.47 | 54 |
| 38.17 | 11 |
| 51.46 | 17 |
| 52.52 | 19 |
| 63.56 | 30 |

Cell and atoms:
Cell lengths 4.928, 4.928, 12.809 Å; angles 90.00, 90.00, 90.00 degrees
Fractional positions:
Ac  0.000  0.000  0.194
Ac  0.000  0.000  0.806
In  0.000  0.500  0.000
In  0.000  0.500  0.377
In  0.000  0.500  0.623
In  0.500  0.000  0.000
In  0.500  0.000  0.377
In  0.500  0.000  0.623
In  0.500  0.500  0.192
In  0.500  0.500  0.808
Au  0.000  0.000  0.500

***

No. 4
Diffraction record for Ac3In7Au2. The X-ray powder pattern is computed, not measured: it uses a cell relaxed with GGA-PBE and Cu Kα.
No peak broadening, texture or thermal motion is included.

The 10 most intense peaks (10° ≤ 2θ ≤ 80°), in order of rising 2θ:
| two_theta | Rel. int. |
| --- | --- |
| 26.55 | 15 |
| 27.88 | 24 |
| 30.35 | 100 |
| 33.78 | 34 |
| 37.52 | 31 |
| 37.79 | 30 |
| 37.93 | 20 |
| 48.98 | 15 |
| 54.31 | 21 |
| 59.02 | 15 |

Cell and atoms:
Cell lengths 4.794, 4.761, 15.196 Å; angles 90.00, 99.03, 90.00 degrees
Fractional positions:
Ac  0.000  0.000  0.000
Ac  0.319  0.500  0.638
Ac  0.681  0.500  0.362
In  0.083  0.500  0.167
In  0.225  0.000  0.450
In  0.418  0.000  0.833
In  0.500  0.500  0.000
In  0.582  0.000  0.167
In  0.775  0.000  0.550
In  0.917  0.500  0.833
Au  0.133  0.000  0.270
Au  0.867  0.000  0.730

***

No. 5
Diffraction record for Ac2InIrAu. The X-ray powder pattern is computed, not measured: it uses a cell relaxed with GGA-PBE and Cu Kα.
No peak broadening, texture or thermal motion is included.

The 10 most intense peaks (10° ≤ 2θ ≤ 80°), in order of rising 2θ:
| two_theta | Rel. int. |
| --- | --- |
| 27.06 | 33 |
| 28.63 | 100 |
| 29.26 | 25 |
| 30.03 | 42 |
| 33.96 | 25 |
| 37.64 | 61 |
| 40.93 | 69 |
| 41.97 | 31 |
| 51.59 | 38 |
| 59.27 | 24 |

Cell and atoms:
Cell lengths 4.410, 4.410, 14.880 Å; angles 90.00, 90.00, 90.00 degrees
Fractional positions:
Ac  0.250  0.250  0.101
Ac  0.250  0.250  0.704
Ac  0.750  0.750  0.296
Ac  0.750  0.750  0.899
In  0.250  0.750  0.500
In  0.750  0.250  0.500
Ir  0.250  0.250  0.893
Ir  0.750  0.750  0.107
Au  0.250  0.250  0.358
Au  0.750  0.750  0.642

***

No. 6
Diffraction record for Li2AcInAu2. The X-ray powder pattern is computed, not measured: it uses a cell relaxed with GGA-PBE and Cu Kα.
No peak broadening, texture or thermal motion is included.

The 10 most intense peaks (10° ≤ 2θ ≤ 80°), in order of rising 2θ:
| two_theta | Rel. int. |
| --- | --- |
| 25.49 | 89 |
| 33.49 | 100 |
| 39.05 | 64 |
| 43.99 | 15 |
| 47.21 | 18 |
| 52.37 | 29 |
| 62.87 | 15 |
| 65.78 | 21 |
| 67.22 | 27 |
| 70.73 | 11 |

Cell and atoms:
Cell lengths 4.614, 4.614, 7.205 Å; angles 90.00, 90.00, 120.00 degrees
Fractional positions:
Li  0.333  0.667  0.153
Li  0.667  0.333  0.847
Ac  0.000  0.000  0.500
In  0.000  0.000  0.000
Au  0.333  0.667  0.776
Au  0.667  0.333  0.224

***

Repeat the fifth record exactly.
Diffraction record for Ac2InIrAu. The X-ray powder pattern is computed, not measured: it uses a cell relaxed with GGA-PBE and Cu Kα.
No peak broadening, texture or thermal motion is included.

The 10 most intense peaks (10° ≤ 2θ ≤ 80°), in order of rising 2θ:
| two_theta | Rel. int. |
| --- | --- |
| 27.06 | 33 |
| 28.63 | 100 |
| 29.26 | 25 |
| 30.03 | 42 |
| 33.96 | 25 |
| 37.64 | 61 |
| 40.93 | 69 |
| 41.97 | 31 |
| 51.59 | 38 |
| 59.27 | 24 |

Cell and atoms:
Cell lengths 4.410, 4.410, 14.880 Å; angles 90.00, 90.00, 90.00 degrees
Fractional positions:
Ac  0.250  0.250  0.101
Ac  0.250  0.250  0.704
Ac  0.750  0.750  0.296
Ac  0.750  0.750  0.899
In  0.250  0.750  0.500
In  0.750  0.250  0.500
Ir  0.250  0.250  0.893
Ir  0.750  0.750  0.107
Au  0.250  0.250  0.358
Au  0.750  0.750  0.642